Fe7Pd2Rh3: theoretical X-ray diffraction stick pattern (copper Kα), based on DFT lattice parameters and positions (GGA-PBE).
Lines closer than 0.1° are merged.

Peak list (12 most intense, 2θ = 15–90°, sorted by position)
2theta	d_spacing	Rel. int.
17.18	5.161	8
23.54	3.780	8
25.90	3.441	7
30.97	2.888	10
33.37	2.685	13
37.76	2.382	10
43.18	2.095	27
43.65	2.074	100
44.61	2.031	25
63.83	1.458	16
79.51	1.206	22
81.53	1.181	15

Atomic structure:
Lattice parameters (Å, degrees): 10.532 10.532 4.062 90.00 90.00 157.05
Fractional coordinates of all 12 atoms:
Fe  0.000  0.000  0.000
Fe  0.073  0.927  0.500
Fe  0.279  0.721  0.000
Fe  0.427  0.573  0.000
Fe  0.573  0.427  0.000
Fe  0.721  0.279  0.000
Fe  0.927  0.073  0.500
Pd  0.151  0.849  0.000
Pd  0.849  0.151  0.000
Rh  0.350  0.650  0.500
Rh  0.500  0.500  0.500
Rh  0.650  0.350  0.500